(1)
This entry pairs a crystal structure of Ac2Tb3Nd with its calculated powder X-ray diffraction pattern. Radiation: Cu Kα. Structure: DFT lattice parameters and positions (GGA-PBE).

Largest 8 diffraction maxima, by intensity, 10 to 90 degrees two-theta:
| Position (°2θ) | I/Imax |
| --- | --- |
| 29.1 | 100 |
| 34.3 | 72 |
| 30.2 | 54 |
| 26.2 | 45 |
| 32.6 | 36 |
| 28.9 | 35 |
| 48.6 | 29 |
| 53.1 | 29 |

Structure:
```
data_Ac2Tb3Nd
_cell_length_a 16.5444
_cell_length_b 7.4932
_cell_length_c 7.4861
_cell_angle_alpha 90.00
_cell_angle_beta 103.10
_cell_angle_gamma 90.00
_symmetry_space_group_name_H-M 'C 1 2/c 1'
_symmetry_Int_Tables_number 15
loop_
_symmetry_equiv_pos_as_xyz
'x,y,z'
'-x,-y,-z'
'-x,y,-z+1/2'
'x,-y,z+1/2'
'x+1/2,y+1/2,z'
'-x+1/2,-y+1/2,-z'
'-x+1/2,y+1/2,-z+1/2'
'x+1/2,-y+1/2,z+1/2'
loop_
_atom_site_label
_atom_site_fract_x
_atom_site_fract_y
_atom_site_fract_z
Ac1 0.1825 0.0040 0.0913
Tb1 0.0000 0.2156 0.2500
Tb2 0.1187 0.4979 0.5596
Nd1 0.0000 0.2134 0.7500
```

***

(2)
This entry pairs a crystal structure of TaCu2Hg with its calculated powder X-ray diffraction pattern. Radiation: Cu Kα. Structure: DFT lattice parameters and positions (GGA-PBE).

Largest 8 diffraction maxima, by intensity, 10 to 90 degrees two-theta:
| Position (°2θ) | I/Imax |
| --- | --- |
| 39.3 | 100 |
| 43.9 | 41 |
| 33.0 | 36 |
| 77.6 | 27 |
| 11.9 | 18 |
| 58.2 | 15 |
| 36.2 | 15 |
| 63.9 | 13 |

Structure:
```
data_TaCu2Hg
_cell_length_a 2.9149
_cell_length_b 2.9149
_cell_length_c 7.4373
_cell_angle_alpha 90.00
_cell_angle_beta 90.00
_cell_angle_gamma 90.00
_symmetry_space_group_name_H-M 'P 4 m m'
_symmetry_Int_Tables_number 99
loop_
_symmetry_equiv_pos_as_xyz
'x,y,z'
'-y,x,z'
'-x,-y,z'
'y,-x,z'
'-x,y,z'
'y,x,z'
'x,-y,z'
'-y,-x,z'
loop_
_atom_site_label
_atom_site_fract_x
_atom_site_fract_y
_atom_site_fract_z
Ta1 0.0000 0.0000 0.0000
Cu1 0.0000 0.0000 0.4302
Cu2 0.5000 0.5000 0.2365
Hg1 0.5000 0.5000 0.6943
```